[1]
Structure and theoretical powder diffractogram of Ho2Ge3Pt9 (the GGA-PBE geometry in the Materials Project; Cu Kα (weighted mean of Kα1 and Kα2)).
No peak broadening, texture or thermal motion is included.

Atomic structure:
Lattice parameters (Å, degrees): 7.8212 7.8212 10.1190 112.99 112.99 60.12
Fractional coordinates of all 28 atoms:
1 Ho 0.0840 0.2544 0.2509
2 Ho 0.2544 0.0840 0.7509
3 Ho 0.7456 0.9160 0.2491
4 Ho 0.9160 0.7456 0.7491
5 Ge 0.0000 0.5000 0.0000
6 Ge 0.1405 0.6810 0.5024
7 Ge 0.3190 0.8595 0.9976
8 Ge 0.5000 0.0000 0.5000
9 Ge 0.6810 0.1405 0.0024
10 Ge 0.8595 0.3190 0.4976
11 Pt 0.0223 0.8599 0.0776
12 Pt 0.1401 0.9777 0.4224
13 Pt 0.1938 0.3595 0.5797
14 Pt 0.2019 0.5862 0.2568
15 Pt 0.2976 0.4760 0.9224
16 Pt 0.3595 0.1938 0.0797
17 Pt 0.3663 0.6337 0.7500
18 Pt 0.4138 0.7981 0.2432
19 Pt 0.4760 0.2976 0.4224
20 Pt 0.5240 0.7024 0.5776
21 Pt 0.5862 0.2019 0.7568
22 Pt 0.6337 0.3663 0.2500
23 Pt 0.6405 0.8062 0.9203
24 Pt 0.7024 0.5240 0.0776
25 Pt 0.7981 0.4138 0.7432
26 Pt 0.8062 0.6405 0.4203
27 Pt 0.8599 0.0223 0.5776
28 Pt 0.9777 0.1401 0.9224

The 6 most intense peaks (10° ≤ 2θ ≤ 90°), low angle first:
2θ = 35.2°, I = 20; 2θ = 37.5°, I = 17; 2θ = 37.7°, I = 98; 2θ = 37.8°, I = 49; 2θ = 39.9°, I = 100; 2θ = 70.9°, I = 33

=====

[2]
Structure and theoretical powder diffractogram of Rb2Se5 (the GGA-PBE geometry in the Materials Project; Cu Kα (weighted mean of Kα1 and Kα2)).
No peak broadening, texture or thermal motion is included.

Atomic structure:
Lattice parameters (Å, degrees): 7.0649 7.3374 18.7629 90.00 90.00 90.00
Fractional coordinates of all 28 atoms:
1 Rb 0.0868 0.2414 0.1622
2 Rb 0.1231 0.4135 0.5102
3 Rb 0.3769 0.5865 0.0102
4 Rb 0.4132 0.7586 0.6622
5 Rb 0.5868 0.2586 0.8378
6 Rb 0.6231 0.0865 0.4898
7 Rb 0.8769 0.9135 0.9898
8 Rb 0.9132 0.7414 0.3378
9 Se 0.0364 0.6252 0.7981
10 Se 0.0598 0.7442 0.1604
11 Se 0.0712 0.3641 0.8740
12 Se 0.0950 0.9167 0.5190
13 Se 0.2419 0.8559 0.8476
14 Se 0.2581 0.1441 0.3476
15 Se 0.4050 0.0833 0.0190
16 Se 0.4288 0.6359 0.3740
17 Se 0.4402 0.2558 0.6604
18 Se 0.4636 0.3748 0.2981
19 Se 0.5364 0.8748 0.2019
20 Se 0.5598 0.7558 0.8396
21 Se 0.5712 0.1359 0.1260
22 Se 0.5950 0.5833 0.4810
23 Se 0.7419 0.6441 0.1524
24 Se 0.7581 0.3559 0.6524
25 Se 0.9050 0.4167 0.9810
26 Se 0.9288 0.8641 0.6260
27 Se 0.9402 0.2442 0.3396
28 Se 0.9636 0.1252 0.7019

The 6 most intense peaks (10° ≤ 2θ ≤ 90°), low angle first:
2θ = 18.1°, I = 20; 2θ = 27.8°, I = 18; 2θ = 28.5°, I = 41; 2θ = 29.0°, I = 100; 2θ = 31.0°, I = 41; 2θ = 35.6°, I = 18

=====

[3]
Structure and theoretical powder diffractogram of SmBiRh (the GGA-PBE geometry in the Materials Project; Cu Kα (weighted mean of Kα1 and Kα2)).
No peak broadening, texture or thermal motion is included.

Atomic structure:
Lattice parameters (Å, degrees): 7.3767 4.7668 8.0535 90.00 90.00 90.00
Fractional coordinates of all 12 atoms:
1 Sm 0.0109 0.2500 0.1995
2 Sm 0.4891 0.7500 0.6995
3 Sm 0.5109 0.2500 0.3005
4 Sm 0.9891 0.7500 0.8005
5 Bi 0.1877 0.2500 0.5903
6 Bi 0.3123 0.7500 0.0903
7 Bi 0.6877 0.2500 0.9097
8 Bi 0.8123 0.7500 0.4097
9 Rh 0.2074 0.7500 0.4214
10 Rh 0.2926 0.2500 0.9214
11 Rh 0.7074 0.7500 0.0786
12 Rh 0.7926 0.2500 0.5786

The 6 most intense peaks (10° ≤ 2θ ≤ 90°), low angle first:
2θ = 31.5°, I = 53; 2θ = 32.6°, I = 100; 2θ = 32.9°, I = 38; 2θ = 37.7°, I = 52; 2θ = 38.3°, I = 35; 2θ = 38.5°, I = 73